No. 1
The following is a calculated powder diffraction line list of BaCaCoO3. It was derived from the GGA+U geometry in Alexandria, using CuKα.
Intensities are scaled so that the largest is 100.

Atomic structure:
Cell lengths 13.125, 4.042, 7.254 Å; angles 90.00, 105.41, 90.00 degrees
Space group C2/m (No. 12)
Asymmetric unit:
Ba1 0.144 0.000 0.077 [4 per cell]
Ca1 0.147 0.000 0.571 [4 per cell]
Co1 0.003 0.500 0.285 [4 per cell]
O1 0.002 0.000 0.289 [4 per cell]
O2 0.151 0.500 0.801 [4 per cell]
O3 0.159 0.500 0.348 [4 per cell]

Most intense lines, 2θ = 5–70°, by angle:
2θ (°)  I (rel.)
12.66  21.7
25.49  28.5
30.64  59.2
32.38  35.2
32.74  32.9
33.19  100.0
42.88  19.8
43.90  16.9
44.85  28.2
50.32  14.7


No. 2
The following is a calculated powder diffraction line list of Ba2CaYCo8O14. It was derived from the GGA+U geometry in Alexandria, using CuKα.
Intensities are scaled so that the largest is 100.

Atomic structure:
Cell lengths 11.048, 6.402, 10.362 Å; angles 90.00, 90.66, 90.00 degrees
Space group Cm (No. 8)
Asymmetric unit:
Ba1 0.000 0.000 0.000 [2 per cell]
Ba2 0.205 0.500 0.486 [2 per cell]
Ca1 0.196 0.500 0.859 [2 per cell]
Y1 0.025 0.000 0.360 [2 per cell]
Co1 0.027 0.500 0.173 [2 per cell]
Co2 0.190 0.000 0.674 [2 per cell]
Co3 0.270 0.250 0.177 [4 per cell]
Co4 0.353 0.000 0.932 [2 per cell]
Co5 0.363 0.000 0.432 [2 per cell]
Co6 0.450 0.254 0.678 [4 per cell]
O1 0.019 0.500 0.983 [2 per cell]
O2 0.107 0.252 0.242 [4 per cell]
O3 0.126 0.256 0.705 [4 per cell]
O4 0.198 0.000 0.487 [2 per cell]
O5 0.288 0.244 0.990 [4 per cell]
O6 0.358 0.000 0.247 [2 per cell]
O7 0.358 0.000 0.741 [2 per cell]
O8 0.360 0.500 0.233 [2 per cell]
O9 0.387 0.500 0.760 [2 per cell]
O10 0.424 0.254 0.488 [4 per cell]

Most intense lines, 2θ = 5–70°, by angle:
2θ (°)  I (rel.)
27.92  43.4
30.40  43.1
30.58  32.7
32.85  70.6
33.11  36.8
33.49  100.0
34.63  23.3
50.87  17.6
55.54  17.7
57.77  27.0